Entry 1:
# TlNiIrPt
Theoretical powder XRD pattern, λ = 1.5418 Å (Cu Kα). Input: a crystal structure in OQMD, relaxed with GGA-PBE.
Intensities are scaled so that the largest is 100.

Structural model:
```
data_TlNiIrPt
_cell_length_a 6.3451
_cell_length_b 6.3451
_cell_length_c 6.3451
_cell_angle_alpha 90.00
_cell_angle_beta 90.00
_cell_angle_gamma 90.00
_space_group_name_H-M_alt 'F -4 3 m'
_space_group_IT_number 216
_space_group_name_Hall 'F -4 2 3'
loop_
_atom_site_label
_atom_site_type_symbol
_atom_site_fract_x
_atom_site_fract_y
_atom_site_fract_z
Tl1 Tl 0.0000 0.0000 0.0000
Ni1 Ni 0.2500 0.2500 0.2500
Ir1 Ir 0.0000 0.0000 0.5000
Pt1 Pt 0.2500 0.2500 0.7500
```

Principal peaks in the range 2θ = 15–90°, by angle:
24.30°, intensity 9, hkl 1 1 1; 28.13°, intensity 5, hkl 2 0 0; 40.20°, intensity 100, hkl 2 2 0; 47.53°, intensity 5, hkl 3 1 1; 58.16°, intensity 17, hkl 4 0 0; 63.96°, intensity 2, hkl 3 3 1; 65.82°, intensity 2, hkl 4 2 0; 73.06°, intensity 35, hkl 4 2 2; 78.30°, intensity 2, hkl 5 1 1; 86.83°, intensity 11, hkl 4 4 0



Entry 2:
# LaCoGe2Au
Theoretical powder XRD pattern, λ = 1.5418 Å (Cu Kα). Input: a crystal structure in OQMD, relaxed with GGA-PBE.
Intensities are scaled so that the largest is 100.

Structural model:
```
data_LaCoGe2Au
_cell_length_a 4.2632
_cell_length_b 4.2632
_cell_length_c 10.5186
_cell_angle_alpha 90.00
_cell_angle_beta 90.00
_cell_angle_gamma 90.00
_space_group_name_H-M_alt 'I -4 m 2'
_space_group_IT_number 119
_space_group_name_Hall 'I -4 -2'
loop_
_atom_site_label
_atom_site_type_symbol
_atom_site_fract_x
_atom_site_fract_y
_atom_site_fract_z
La1 La 0.0000 0.0000 0.0000
Co1 Co 0.0000 0.5000 0.2500
Ge1 Ge 0.0000 0.0000 0.3774
Au1 Au 0.0000 0.5000 0.7500
```

Principal peaks in the range 2θ = 15–90°, by angle:
22.50°, intensity 33, hkl 1 0 1; 33.08°, intensity 51, hkl 1 0 3; 34.29°, intensity 100, hkl 1 1 2; 42.40°, intensity 52, hkl 2 0 0; 45.79°, intensity 21, hkl 1 1 4; 48.24°, intensity 19, hkl 1 0 5; 54.81°, intensity 25, hkl 2 1 3; 61.15°, intensity 17, hkl 1 1 6; 61.52°, intensity 17, hkl 2 2 0; 72.36°, intensity 23, hkl 3 1 2



Entry 3:
# LiOs3Pb5
Theoretical powder XRD pattern, λ = 1.5418 Å (Cu Kα). Input: a crystal structure in OQMD, relaxed with GGA-PBE.
Intensities are scaled so that the largest is 100.

Structural model:
```
data_LiOs3Pb5
_cell_length_a 5.5638
_cell_length_b 5.5638
_cell_length_c 8.6058
_cell_angle_alpha 90.00
_cell_angle_beta 90.00
_cell_angle_gamma 120.00
_space_group_name_H-M_alt 'P 6/m m m'
_space_group_IT_number 191
_space_group_name_Hall '-P 6 2'
loop_
_atom_site_label
_atom_site_type_symbol
_atom_site_fract_x
_atom_site_fract_y
_atom_site_fract_z
Li1 Li 0.0000 0.0000 0.0000
Os1 Os 0.0000 0.5000 0.5000
Pb1 Pb 0.0000 0.0000 0.5000
Pb2 Pb 0.3333 0.6667 0.2112
```

Principal peaks in the range 2θ = 15–90°, by angle:
18.41°, intensity 49, hkl 1 0 0; 27.80°, intensity 37, hkl 1 0 2; 31.18°, intensity 53, hkl 0 0 3; 32.18°, intensity 61, hkl 1 1 0; 38.54°, intensity 52, hkl 1 1 2; 38.82°, intensity 76, hkl 2 0 1; 43.03°, intensity 100, hkl 2 0 2; 66.79°, intensity 35, hkl 2 0 5; 67.32°, intensity 29, hkl 2 2 0; 76.05°, intensity 31, hkl 2 2 3



Entry 4:
# NbZn
Theoretical powder XRD pattern, λ = 1.5418 Å (Cu Kα). Input: a crystal structure in OQMD, relaxed with GGA-PBE.
Intensities are scaled so that the largest is 100.

Structural model:
```
data_NbZn
_cell_length_a 2.8437
_cell_length_b 2.8437
_cell_length_c 4.7873
_cell_angle_alpha 90.00
_cell_angle_beta 90.00
_cell_angle_gamma 120.00
_space_group_name_H-M_alt 'P -6 m 2'
_space_group_IT_number 187
_space_group_name_Hall 'P -6 2'
loop_
_atom_site_label
_atom_site_type_symbol
_atom_site_fract_x
_atom_site_fract_y
_atom_site_fract_z
Nb1 Nb 0.0000 0.0000 0.0000
Zn1 Zn 0.6667 0.3333 0.5000
```

Principal peaks in the range 2θ = 15–90°, by angle:
18.53°, intensity 4, hkl 0 0 1; 36.49°, intensity 25, hkl 1 0 0; 37.58°, intensity 29, hkl 0 0 2; 41.22°, intensity 100, hkl 1 0 1; 53.38°, intensity 16, hkl 1 0 2; 65.67°, intensity 16, hkl 1 1 0; 70.29°, intensity 19, hkl 1 0 3; 78.20°, intensity 19, hkl 1 1 2; 80.55°, intensity 13, hkl 2 0 1; 89.51°, intensity 4, hkl 2 0 2



Entry 5:
# AlTcH6Pt
Theoretical powder XRD pattern, λ = 1.5418 Å (Cu Kα). Input: a crystal structure in OQMD, relaxed with GGA-PBE.
Intensities are scaled so that the largest is 100.

Structural model:
```
data_AlTcH6Pt
_cell_length_a 6.4014
_cell_length_b 6.4014
_cell_length_c 6.4014
_cell_angle_alpha 90.00
_cell_angle_beta 90.00
_cell_angle_gamma 90.00
_space_group_name_H-M_alt 'F -4 3 m'
_space_group_IT_number 216
_space_group_name_Hall 'F -4 2 3'
loop_
_atom_site_label
_atom_site_type_symbol
_atom_site_fract_x
_atom_site_fract_y
_atom_site_fract_z
Al1 Al 0.0000 0.0000 0.0000
Tc1 Tc 0.0000 0.0000 0.5000
H1 H 0.0327 0.2500 0.2500
Pt1 Pt 0.2500 0.2500 0.7500
```

Principal peaks in the range 2θ = 15–90°, by angle:
24.08°, intensity 100, hkl 1 1 1; 27.87°, intensity 5, hkl 2 0 0; 39.83°, intensity 99, hkl 2 2 0; 47.08°, intensity 52, hkl 3 1 1; 57.60°, intensity 18, hkl 4 0 0; 63.33°, intensity 22, hkl 3 3 1; 65.17°, intensity 2, hkl 4 2 0; 72.31°, intensity 34, hkl 4 2 2; 77.48°, intensity 16, hkl 3 3 3; 85.88°, intensity 11, hkl 4 4 0